The following is a simulated powder X-ray diffraction pattern of EuNbCrSnO6. It was derived from a crystal structure in Alexandria, relaxed with GGA+U, using λ = 1.5418 Å (Cu Kα).

Main lines, most intense first (5 to 70 degrees two-theta):
2θ 31.62, intensity 100; 2θ 56.31, intensity 39; 2θ 45.32, intensity 32; 2θ 66.03, intensity 19; 2θ 38.98, intensity 12; 2θ 22.21, intensity 5; 2θ 19.21, intensity 4; 2θ 51.03, intensity 4; 2θ 37.26, intensity 2; 2θ 49.65, intensity 1

Cell and atoms:
Lattice parameters (Å, degrees): 5.660 5.660 5.660 60.00 60.00 60.00
Positions (direct):
Eu  0.000  0.000  0.000
Nb  0.750  0.750  0.750
Cr  0.250  0.250  0.250
Sn  0.500  0.500  0.500
O  0.001  0.001  0.499
O  0.001  0.499  0.001
O  0.001  0.499  0.499
O  0.499  0.001  0.001
O  0.499  0.001  0.499
O  0.499  0.499  0.001